Entry 1:
Calculated PXRD pattern
Compound: CaNdTl4
Radiation: Cu Kα X-rays
Structure: a crystal structure in Alexandria, relaxed with PBE
Peak positions follow from Bragg's law for the DFT cell and can differ from measured ones.

```
CaNdTl4
1.0
5.0502 0.0000 0.0000
2.5026 5.9039 0.0000
2.5246 -0.9245 5.9342
Ca Nd Tl
1 1 4
Direct
0.0000 0.0000 0.0000 Ca
0.5000 0.5000 0.5000 Nd
0.1847 0.4834 0.1474 Tl
0.3099 0.0239 0.3566 Tl
0.6901 0.9761 0.6434 Tl
0.8153 0.5166 0.8526 Tl
```

Principal peaks in the range 10° ≤ 2θ ≤ 90°, sorted by position:
d [Å]  I/Imax
3.873  103
2.920  1000
2.589  510
2.525  238
1.968  109
1.552  153

Entry 2:
Calculated PXRD pattern
Compound: CaNd2Tl2
Radiation: Cu Kα X-rays
Structure: a crystal structure in Alexandria, relaxed with PBE
Peak positions follow from Bragg's law for the DFT cell and can differ from measured ones.

```
CaNd2Tl2
1.0
5.5010 0.0000 0.0000
2.7401 4.7759 0.0000
2.7380 1.5732 5.8952
Ca Nd Tl
1 2 2
Direct
0.0000 0.0000 0.0000 Ca
0.2222 0.2253 0.3290 Nd
0.7778 0.7747 0.6710 Nd
0.4150 0.4107 0.7599 Tl
0.5850 0.5893 0.2401 Tl
```

Principal peaks in the range 10° ≤ 2θ ≤ 90°, sorted by position:
d [Å]  I/Imax
4.605  414
2.948  195
2.841  783
2.754  1000
2.014  270
1.608  144

Entry 3:
Calculated PXRD pattern
Compound: CaNd4Tl4
Radiation: Cu Kα X-rays
Structure: a crystal structure in Alexandria, relaxed with PBE
Peak positions follow from Bragg's law for the DFT cell and can differ from measured ones.

```
CaNd4Tl4
1.0
9.5016 0.0000 0.0000
0.0000 9.5016 0.0000
0.0000 0.0000 6.2140
Ca Nd Tl
2 8 8
Direct
0.2500 0.2500 0.2500 Ca
0.7500 0.7500 0.7500 Ca
0.0871 0.8288 0.6190 Nd
0.1712 0.5871 0.1190 Nd
0.3288 0.9129 0.1190 Nd
0.4129 0.6712 0.6190 Nd
0.5871 0.3288 0.3810 Nd
0.6712 0.0871 0.8810 Nd
0.8288 0.4129 0.8810 Nd
0.9129 0.1712 0.3810 Nd
0.0452 0.1474 0.8719 Tl
0.1474 0.4548 0.6281 Tl
0.3526 0.0452 0.6281 Tl
0.4548 0.3526 0.8719 Tl
0.5452 0.6474 0.1281 Tl
0.6474 0.9548 0.3719 Tl
0.8526 0.5452 0.3719 Tl
0.9548 0.8526 0.1281 Tl
```

Principal peaks in the range 10° ≤ 2θ ≤ 90°, sorted by position:
d [Å]  I/Imax
3.005  805
2.954  1000
2.822  403
2.508  784
2.426  439
1.621  319

Entry 4:
Calculated PXRD pattern
Compound: Ca2NdTl2
Radiation: Cu Kα X-rays
Structure: a crystal structure in Alexandria, relaxed with PBE
Peak positions follow from Bragg's law for the DFT cell and can differ from measured ones.

```
Ca2NdTl2
1.0
6.9075 0.0000 0.0000
0.0000 5.3673 0.0000
0.0000 0.0000 16.6530
Ca Nd Tl
8 4 8
Direct
0.0212 0.2500 0.1424 Ca
0.1924 0.2500 0.7308 Ca
0.3076 0.7500 0.2308 Ca
0.4788 0.7500 0.6424 Ca
0.5212 0.2500 0.3576 Ca
0.6924 0.2500 0.7692 Ca
0.8076 0.7500 0.2692 Ca
0.9788 0.7500 0.8576 Ca
0.1485 0.7500 0.4506 Nd
0.3515 0.2500 0.9506 Nd
0.6485 0.7500 0.0494 Nd
0.8515 0.2500 0.5494 Nd
0.0494 0.2500 0.3401 Tl
0.1363 0.7500 0.0460 Tl
0.3637 0.2500 0.5460 Tl
0.4506 0.7500 0.8401 Tl
0.5494 0.2500 0.1599 Tl
0.6363 0.7500 0.4540 Tl
0.8637 0.2500 0.9540 Tl
0.9506 0.7500 0.6599 Tl
```

Principal peaks in the range 10° ≤ 2θ ≤ 90°, sorted by position:
d [Å]  I/Imax
8.326  355
2.932  281
2.861  273
2.830  1000
2.742  632
2.684  462

Entry 5:
Calculated PXRD pattern
Compound: CaNd8Tm6
Radiation: Cu Kα X-rays
Structure: a crystal structure in Alexandria, relaxed with PBE
Peak positions follow from Bragg's law for the DFT cell and can differ from measured ones.

```
CaNd8Tm6
1.0
4.8696 2.8114 6.0394
-4.8696 2.8114 6.0394
0.0000 -5.6229 6.0394
Ca Nd Tm
1 8 6
Direct
0.0000 0.0000 0.0000 Ca
0.0522 0.3806 0.8607 Nd
0.1393 0.9478 0.6194 Nd
0.2407 0.2407 0.2407 Nd
0.3806 0.8607 0.0522 Nd
0.6194 0.1393 0.9478 Nd
0.7593 0.7593 0.7593 Nd
0.8607 0.0522 0.3806 Nd
0.9478 0.6194 0.1393 Nd
0.1775 0.6163 0.4371 Tm
0.3837 0.5629 0.8225 Tm
0.4371 0.1775 0.6163 Tm
0.5629 0.8225 0.3837 Tm
0.6163 0.4371 0.1775 Tm
0.8225 0.3837 0.5629 Tm
```

Principal peaks in the range 10° ≤ 2θ ≤ 90°, sorted by position:
d [Å]  I/Imax
3.020  335
3.007  1000
2.607  681
1.846  212
1.841  183
1.571  283

Entry 6:
Calculated PXRD pattern
Compound: CaNd12Tm3
Radiation: Cu Kα X-rays
Structure: a crystal structure in Alexandria, relaxed with PBE
Peak positions follow from Bragg's law for the DFT cell and can differ from measured ones.

```
CaNd12Tm3
1.0
5.1660 0.0000 0.0000
0.0000 5.1660 0.0000
0.0000 0.0000 20.6427
Ca Nd Tm
1 12 3
Direct
0.0000 0.0000 0.0000 Ca
0.0000 0.5000 0.1303 Nd
0.0000 0.5000 0.3764 Nd
0.0000 0.5000 0.6236 Nd
0.0000 0.5000 0.8697 Nd
0.5000 0.0000 0.1303 Nd
0.5000 0.0000 0.3764 Nd
0.5000 0.0000 0.6236 Nd
0.5000 0.0000 0.8697 Nd
0.5000 0.5000 0.0000 Nd
0.5000 0.5000 0.2519 Nd
0.5000 0.5000 0.5000 Nd
0.5000 0.5000 0.7481 Nd
0.0000 0.0000 0.2520 Tm
0.0000 0.0000 0.5000 Tm
0.0000 0.0000 0.7480 Tm
```

Principal peaks in the range 10° ≤ 2θ ≤ 90°, sorted by position:
d [Å]  I/Imax
2.982  1000
2.582  506
1.826  360
1.557  426
1.185  171
1.155  159

Entry 7:
Calculated PXRD pattern
Compound: CaNd7Tm2
Radiation: Cu Kα X-rays
Structure: a crystal structure in Alexandria, relaxed with PBE
Peak positions follow from Bragg's law for the DFT cell and can differ from measured ones.

```
CaNd7Tm2
1.0
6.3111 0.0000 0.0000
-1.0530 6.2419 0.0000
-3.1429 -2.6359 8.7724
Ca Nd Tm
1 7 2
Direct
0.0000 0.0000 0.0000 Ca
0.0000 0.5000 0.5000 Nd
0.2038 0.0037 0.4054 Nd
0.2064 0.5001 0.8968 Nd
0.4011 0.0003 0.7945 Nd
0.5989 0.9997 0.2055 Nd
0.7936 0.4999 0.1032 Nd
0.7962 0.9963 0.5946 Nd
0.4035 0.5071 0.3044 Tm
0.5965 0.4929 0.6956 Tm
```

Principal peaks in the range 10° ≤ 2θ ≤ 90°, sorted by position:
d [Å]  I/Imax
2.992  1000
2.979  987
2.593  334
2.581  668
1.826  361
1.560  352

Entry 8:
Calculated PXRD pattern
Compound: CaNd6Y4
Radiation: Cu Kα X-rays
Structure: a crystal structure in Alexandria, relaxed with PBE
Peak positions follow from Bragg's law for the DFT cell and can differ from measured ones.

```
CaNd6Y4
1.0
9.4445 0.0000 0.0000
-4.7222 8.1792 0.0000
0.0000 0.0000 5.3618
Ca Nd Y
1 6 4
Direct
0.0000 0.0000 0.0000 Ca
0.2037 0.4073 0.5000 Nd
0.2037 0.7963 0.5000 Nd
0.5330 0.0661 0.0000 Nd
0.5330 0.4670 0.0000 Nd
0.5927 0.7963 0.5000 Nd
0.9339 0.4670 0.0000 Nd
0.3333 0.6667 0.0000 Y
0.4165 0.2082 0.5000 Y
0.7918 0.2082 0.5000 Y
0.7918 0.5835 0.5000 Y
```

Principal peaks in the range 10° ≤ 2θ ≤ 90°, sorted by position:
d [Å]  I/Imax
8.179  368
3.252  815
3.091  243
2.679  1000
1.772  218
1.565  205

Entry 9:
Calculated PXRD pattern
Compound: CaNd3Y6
Radiation: Cu Kα X-rays
Structure: a crystal structure in Alexandria, relaxed with PBE
Peak positions follow from Bragg's law for the DFT cell and can differ from measured ones.

```
CaNd3Y6
1.0
5.8725 -3.3491 0.0000
5.8725 3.3491 0.0000
-3.8497 0.0000 8.8557
Ca Nd Y
1 3 6
Direct
0.0000 0.0000 0.0000 Ca
0.0691 0.0691 0.6918 Nd
0.5000 0.5000 0.5000 Nd
0.9309 0.9309 0.3082 Nd
0.0655 0.5590 0.6902 Y
0.3587 0.3587 0.0742 Y
0.4410 0.9345 0.3098 Y
0.5590 0.0655 0.6902 Y
0.6413 0.6413 0.9258 Y
0.9345 0.4410 0.3098 Y
```

Principal peaks in the range 10° ≤ 2θ ≤ 90°, sorted by position:
d [Å]  I/Imax
3.183  659
2.921  447
2.892  1000
2.880  469
2.844  452
2.676  396

Entry 10:
Calculated PXRD pattern
Compound: CaNd5Y2
Radiation: Cu Kα X-rays
Structure: a crystal structure in Alexandria, relaxed with PBE
Peak positions follow from Bragg's law for the DFT cell and can differ from measured ones.

```
CaNd5Y2
1.0
6.5865 -8.1745 0.0000
6.5865 8.1745 0.0000
-2.7850 0.0000 5.3910
Ca Nd Y
2 10 4
Direct
0.1541 0.8459 0.7500 Ca
0.8459 0.1541 0.2500 Ca
0.1167 0.2244 0.9203 Nd
0.1688 0.4586 0.5637 Nd
0.2244 0.1167 0.4203 Nd
0.3004 0.6996 0.2500 Nd
0.4586 0.1688 0.0637 Nd
0.5414 0.8312 0.9363 Nd
0.6996 0.3004 0.7500 Nd
0.7756 0.8833 0.5797 Nd
0.8312 0.5414 0.4363 Nd
0.8833 0.7756 0.0797 Nd
0.0000 0.5000 0.0000 Y
0.5000 0.0000 0.5000 Y
0.5000 0.5000 0.0000 Y
0.5000 0.5000 0.5000 Y
```

Principal peaks in the range 10° ≤ 2θ ≤ 90°, sorted by position:
d [Å]  I/Imax
3.256  227
3.172  298
3.045  1000
3.034  451
2.878  662
2.584  560

Entry 11:
Calculated PXRD pattern
Compound: CaNd6Y2
Radiation: Cu Kα X-rays
Structure: a crystal structure in Alexandria, relaxed with PBE
Peak positions follow from Bragg's law for the DFT cell and can differ from measured ones.

```
CaNd6Y2
1.0
3.6826 0.0000 0.0000
-1.8413 3.1892 0.0000
0.0000 0.0000 27.4909
Ca Nd Y
1 6 2
Direct
0.0000 0.0000 0.0000 Ca
0.0000 0.0000 0.2232 Nd
0.0000 0.0000 0.4345 Nd
0.0000 0.0000 0.5655 Nd
0.0000 0.0000 0.7768 Nd
0.6667 0.3333 0.1168 Nd
0.6667 0.3333 0.8832 Nd
0.6667 0.3333 0.3316 Y
0.6667 0.3333 0.6684 Y
```

Principal peaks in the range 10° ≤ 2θ ≤ 90°, sorted by position:
d [Å]  I/Imax
3.189  560
3.055  563
2.893  784
2.759  1000
1.841  435
1.577  467

Entry 12:
Calculated PXRD pattern
Compound: CaNd2Y5
Radiation: Cu Kα X-rays
Structure: a crystal structure in Alexandria, relaxed with PBE
Peak positions follow from Bragg's law for the DFT cell and can differ from measured ones.

```
CaNd2Y5
1.0
8.1468 -4.9962 0.0000
8.1468 4.9962 0.0000
-1.4646 0.0000 6.6410
Ca Nd Y
2 4 10
Direct
0.0000 0.5000 0.0000 Ca
0.5000 0.0000 0.5000 Ca
0.1639 0.6701 0.8609 Nd
0.3299 0.8361 0.6391 Nd
0.6701 0.1639 0.3609 Nd
0.8361 0.3299 0.1391 Nd
0.0098 0.1859 0.6481 Y
0.1859 0.0098 0.1481 Y
0.2137 0.3840 0.4585 Y
0.3840 0.2137 0.9585 Y
0.4354 0.5646 0.2500 Y
0.5646 0.4354 0.7500 Y
0.6160 0.7863 0.0415 Y
0.7863 0.6160 0.5415 Y
0.8141 0.9902 0.8519 Y
0.9902 0.8141 0.3519 Y
```

Principal peaks in the range 10° ≤ 2θ ≤ 90°, sorted by position:
d [Å]  I/Imax
3.032  280
3.020  247
2.991  269
2.876  1000
2.854  438
2.087  185

Entry 13:
Calculated PXRD pattern
Compound: CaNd4Y3
Radiation: Cu Kα X-rays
Structure: a crystal structure in Alexandria, relaxed with PBE
Peak positions follow from Bragg's law for the DFT cell and can differ from measured ones.

```
CaNd4Y3
1.0
7.3008 0.0000 0.0000
0.0000 7.3095 0.0000
0.0000 0.0000 10.2991
Ca Nd Y
2 8 6
Direct
0.0000 0.0000 0.0000 Ca
0.5000 0.0000 0.5000 Ca
0.0000 0.0000 0.5000 Nd
0.0000 0.5000 0.5000 Nd
0.2500 0.2554 0.2500 Nd
0.2500 0.7446 0.7500 Nd
0.5000 0.0000 0.0000 Nd
0.5000 0.5000 0.0000 Nd
0.7500 0.2554 0.2500 Nd
0.7500 0.7446 0.7500 Nd
0.0000 0.5000 0.0000 Y
0.2500 0.2578 0.7500 Y
0.2500 0.7422 0.2500 Y
0.5000 0.5000 0.5000 Y
0.7500 0.2578 0.7500 Y
0.7500 0.7422 0.2500 Y
```

Principal peaks in the range 10° ≤ 2θ ≤ 90°, sorted by position:
d [Å]  I/Imax
2.979  1000
2.583  336
2.575  167
1.823  236
1.557  279
1.183  140